Record 1
Starting from a PBE+U-relaxed structure, the powder X-ray diffraction pattern of Ca2W2O5 was calculated for λ = 1.5418 Å (Cu Kα).
Peak positions follow from Bragg's law for the DFT cell and can differ from measured ones.

Crystal structure
Lattice parameters (Å, degrees): 5.492 10.985 3.977 90.00 90.00 90.00
Space group Pbam (No. 55)
One atom of each set of equivalent atoms:
Ca1 0.153 0.153 0.000
W1 0.169 0.403 0.500
O1 0.000 0.000 0.500
O2 0.099 0.721 0.500
O3 0.222 0.383 0.000

Principal peaks in the range 10 to 90 degrees two-theta, sorted by position:
h k l  2θ/deg  I (rel.)
0 0 1  22.36  51
1 2 0  22.90  75
1 1 1  28.89  31
1 2 1  32.22  100
0 4 0  32.61  37
1 4 0  36.58  26
2 3 0  41.09  31
0 0 2  45.63  25
2 3 1  47.27  29
3 1 1  55.92  25

***

Record 2
Starting from a PBE+U-relaxed structure, the powder X-ray diffraction pattern of Ca2WO5 was calculated for λ = 1.5418 Å (Cu Kα).
Peak positions follow from Bragg's law for the DFT cell and can differ from measured ones.

Crystal structure
Lattice parameters (Å, degrees): 7.551 5.374 11.197 90.00 108.54 90.00
Space group P2_1/c (No. 14)
One atom of each set of equivalent atoms:
Ca1 0.153 0.069 0.314
Ca2 0.345 0.507 0.132
W1 0.000 0.000 0.000
W2 0.500 0.000 0.000
O1 0.009 0.239 0.619
O2 0.113 0.713 0.642
O3 0.251 0.131 0.000
O4 0.393 0.693 0.926
O5 0.447 0.156 0.834

Principal peaks in the range 10 to 90 degrees two-theta, sorted by position:
h k l  2θ/deg  I (rel.)
0 0 2  16.70  76
0 1 1  18.50  99
2 0 0  24.87  32
2 0 -2  25.20  22
2 1 -1  28.91  100
0 1 3  30.24  85
0 2 0  33.33  36
2 1 -3  33.81  27
4 0 -2  48.21  27
2 2 2  48.65  27

***

Record 3
Starting from a PBE+U-relaxed structure, the powder X-ray diffraction pattern of CaWO3 was calculated for λ = 1.5418 Å (Cu Kα).
Peak positions follow from Bragg's law for the DFT cell and can differ from measured ones.

Crystal structure
Lattice parameters (Å, degrees): 5.960 5.631 4.129 90.00 91.51 90.00
Space group Cm (No. 8)
One atom of each set of equivalent atoms:
Ca1 0.000 0.000 0.000
W1 0.422 0.000 0.492
O1 0.153 0.235 0.481
O2 0.398 0.000 0.989

Principal peaks in the range 10 to 90 degrees two-theta, sorted by position:
h k l  2θ/deg  I (rel.)
0 0 1  21.53  47
1 1 0  21.72  100
2 0 0  30.00  32
1 1 -1  30.48  68
1 1 1  31.05  64
0 2 0  31.78  32
0 0 2  43.87  22
2 2 0  44.27  37
3 1 0  48.62  18
0 2 2  55.18  14

***

Record 4
Starting from a PBE+U-relaxed structure, the powder X-ray diffraction pattern of Ca2WO5 was calculated for λ = 1.5418 Å (Cu Kα).
Peak positions follow from Bragg's law for the DFT cell and can differ from measured ones.

Crystal structure
Lattice parameters (Å, degrees): 16.473 5.017 5.682 90.00 90.00 90.00
Space group Ima2 (No. 46)
One atom of each set of equivalent atoms:
Ca1 0.156 0.073 0.000
W1 0.000 0.000 0.545
O1 0.042 0.236 0.300
O2 0.103 0.648 0.095
O3 0.250 0.225 0.262

Principal peaks in the range 10 to 90 degrees two-theta, sorted by position:
h k l  2θ/deg  I (rel.)
2 0 0  10.74  100
4 0 0  21.58  11
0 1 1  23.66  19
2 1 1  26.05  87
0 0 2  31.49  15
4 1 1  32.24  51
6 0 0  32.62  12
6 0 2  45.96  15
0 2 2  48.40  13
10 1 1  61.45  12

***

Record 5
Starting from a PBE+U-relaxed structure, the powder X-ray diffraction pattern of CaW3O7 was calculated for λ = 1.5418 Å (Cu Kα).
Peak positions follow from Bragg's law for the DFT cell and can differ from measured ones.

Crystal structure
Lattice parameters (Å, degrees): 10.188 10.642 5.356 90.00 90.00 90.00
Space group Pnma (No. 62)
One atom of each set of equivalent atoms:
Ca1 0.137 0.250 0.163
W1 0.143 0.016 0.622
W2 0.147 0.750 0.157
O1 0.033 0.069 0.315
O2 0.038 0.250 0.754
O3 0.209 0.618 0.909
O4 0.234 0.615 0.389

Principal peaks in the range 10 to 90 degrees two-theta, sorted by position:
h k l  2θ/deg  I (rel.)
0 1 1  18.54  19
1 2 1  25.16  54
2 2 1  29.45  100
0 4 0  33.69  27
1 0 2  34.63  28
4 0 0  35.24  18
3 2 1  35.56  41
1 4 2  49.09  34
4 4 0  49.55  21
5 0 2  56.77  18

***

Record 6
Starting from a PBE+U-relaxed structure, the powder X-ray diffraction pattern of CaWO3 was calculated for λ = 1.5418 Å (Cu Kα).
Peak positions follow from Bragg's law for the DFT cell and can differ from measured ones.

Crystal structure
Lattice parameters (Å, degrees): 5.794 7.910 5.581 90.00 90.00 90.00
Space group Pnma (No. 62)
One atom of each set of equivalent atoms:
Ca1 0.049 0.250 0.013
W1 0.000 0.000 0.500
O1 0.041 0.750 0.399
O2 0.204 0.555 0.809

Principal peaks in the range 10 to 90 degrees two-theta, sorted by position:
h k l  2θ/deg  I (rel.)
1 0 1  22.11  65
0 2 0  22.48  30
2 0 0  30.86  26
1 2 1  31.74  100
0 0 2  32.08  24
2 0 2  45.11  25
2 2 2  50.97  16
1 4 1  51.53  21
3 2 1  55.44  20
1 2 3  56.97  24